(1)
Starting from a crystal structure in Alexandria, relaxed with PBE+U, the powder X-ray diffraction pattern of Li2AcCr2O7 was computed for Cu Kα (weighted mean of Kα1 and Kα2).
Neutral-atom scattering factors, no anomalous dispersion.

Structural model:
Cell: 5.4664 5.4664 23.7593 Å, 90.00 90.00 120.00°
Space group R32 (No. 155, hexagonal axes)
Unique sites:
Li 0.0000 0.0000 0.2501 x6
Ac 0.0000 0.0000 0.0000 x3
Cr 0.0000 0.0000 0.4248 x6
O 0.0000 0.0000 0.5000 x3
O 0.0170 0.3084 0.3992 x18

Largest 12 diffraction maxima, low angle first, 10° ≤ 2θ ≤ 90°:
- 2θ 11.2, d = 7.920 Å, I = 69, hkl 0 0 3
- 2θ 20.2, d = 4.398 Å, I = 100, hkl 0 1 2
- 2θ 24.0, d = 3.702 Å, I = 33, hkl 1 0 4
- 2θ 26.6, d = 3.354 Å, I = 52, hkl 0 1 5
- 2θ 32.5, d = 2.758 Å, I = 37, hkl 1 0 7
- 2θ 32.8, d = 2.733 Å, I = 36, hkl 1 1 0
- 2θ 34.7, d = 2.584 Å, I = 18, hkl 1 1 3
- 2θ 38.8, d = 2.321 Å, I = 20, hkl 2 0 2
- 2θ 47.9, d = 1.899 Å, I = 22, hkl 1 1 9
- 2θ 51.7, d = 1.769 Å, I = 16, hkl 1 2 2
- 2θ 54.8, d = 1.675 Å, I = 16, hkl 1 2 5
- 2θ 57.5, d = 1.603 Å, I = 15, hkl 1 1 12

***

(2)
Starting from a crystal structure in Alexandria, relaxed with PBE+U, the powder X-ray diffraction pattern of LiAc2CrO5 was computed for Cu Kα (weighted mean of Kα1 and Kα2).
Neutral-atom scattering factors, no anomalous dispersion.

Structural model:
Cell: 7.1556 7.1556 5.8704 Å, 90.00 90.00 90.00°
Space group P4/mbm (No. 127)
Unique sites:
Li 0.0000 0.0000 0.0000 x2
Ac 0.1812 0.3188 0.5000 x4
Cr 0.0000 0.5000 0.0000 x2
O 0.0000 0.0000 0.5000 x2
O 0.1300 0.6300 0.2360 x8

Largest 12 diffraction maxima, low angle first, 10° ≤ 2θ ≤ 90°:
- 2θ 15.1, d = 5.870 Å, I = 100, hkl 0 0 1
- 2θ 17.5, d = 5.060 Å, I = 20, hkl 1 1 0
- 2θ 24.9, d = 3.578 Å, I = 19, hkl 2 0 0
- 2θ 27.9, d = 3.200 Å, I = 40, hkl 2 1 0
- 2θ 29.2, d = 3.055 Å, I = 60, hkl 2 0 1
- 2θ 30.5, d = 2.935 Å, I = 25, hkl 0 0 2
- 2θ 31.8, d = 2.810 Å, I = 86, hkl 2 1 1
- 2θ 41.8, d = 2.163 Å, I = 53, hkl 2 1 2
- 2θ 42.8, d = 2.111 Å, I = 23, hkl 3 1 1
- 2θ 55.0, d = 1.669 Å, I = 17, hkl 2 1 3
- 2θ 55.2, d = 1.664 Å, I = 31, hkl 4 1 1
- 2θ 62.1, d = 1.494 Å, I = 22, hkl 4 1 2

***

(3)
Starting from a crystal structure in Alexandria, relaxed with PBE+U, the powder X-ray diffraction pattern of LiAc2CrO6 was computed for Cu Kα (weighted mean of Kα1 and Kα2).
Neutral-atom scattering factors, no anomalous dispersion.

Structural model:
Cell: 5.5622 5.5622 4.0986 Å, 90.00 90.00 90.00°
Space group P4mm (No. 99)
Unique sites:
Li 0.0000 0.0000 0.0000 x1
Ac 0.0000 0.5000 0.4588 x2
Cr 0.5000 0.5000 0.9458 x1
O 0.0000 0.0000 0.5118 x1
O 0.2693 0.2693 0.0286 x4
O 0.5000 0.5000 0.5230 x1

Largest 12 diffraction maxima, low angle first, 10° ≤ 2θ ≤ 90°:
- 2θ 21.7, d = 4.099 Å, I = 34, hkl 0 0 1
- 2θ 22.6, d = 3.933 Å, I = 60, hkl 1 1 0
- 2θ 31.5, d = 2.838 Å, I = 100, hkl 1 1 1
- 2θ 32.2, d = 2.781 Å, I = 47, hkl 2 0 0
- 2θ 39.1, d = 2.301 Å, I = 57, hkl 2 0 1
- 2θ 46.2, d = 1.967 Å, I = 28, hkl 2 2 0
- 2θ 50.2, d = 1.817 Å, I = 17, hkl 1 1 2
- 2θ 51.5, d = 1.773 Å, I = 16, hkl 2 2 1
- 2θ 52.0, d = 1.759 Å, I = 15, hkl 3 1 0
- 2θ 55.7, d = 1.650 Å, I = 22, hkl 2 0 2
- 2θ 57.0, d = 1.616 Å, I = 39, hkl 3 1 1
- 2θ 65.8, d = 1.419 Å, I = 17, hkl 2 2 2

***

Which formula does entry 2 have?
LiAc2CrO5